Theoretical powder XRD pattern of CdSiN2 for a wavelength of 1.5418 Å, from a crystal structure in the Materials Project, relaxed with GGA-PBE.

The 10 most intense peaks (2θ from 5° to 70°), sorted by position:
| Position (°2θ) | Rel. int. | index |
| --- | --- | --- |
| 21.27 | 407 | 1 0 1 |
| 34.00 | 1000 | 1 1 2 |
| 37.16 | 289 | 2 0 0 |
| 37.54 | 169 | 1 0 3 |
| 43.22 | 229 | 2 1 1 |
| 43.77 | 80 | 0 0 4 |
| 53.57 | 142 | 2 2 0 |
| 53.85 | 76 | 2 1 3 |
| 58.73 | 231 | 2 0 4 |
| 64.99 | 277 | 3 1 2 |

Structure:
a = 4.839 Å, b = 4.839 Å, c = 8.274 Å
α = 90.00°, β = 90.00°, γ = 90.00°
Space group I-42d (No. 122)
Unique sites:
Cd1 0.000 0.000 0.000
Si1 0.000 0.000 0.500
N1 0.156 0.750 0.625